Theoretical X-ray powder pattern
Compound: TiHBr3
Radiation: Cu Ka
Structure: a structure optimized by DFT (PBE)

Cell and atoms:
```
TiHBr3
1.0
6.230 -2.678 0.000
6.230 2.678 0.000
-0.634 0.000 8.562
Ti H Br
2 2 6
direct
0.138 0.138 0.409
0.862 0.862 0.591
0.470 0.470 0.006
0.530 0.530 0.994
0.063 0.063 0.686
0.197 0.197 0.152
0.333 0.333 0.559
0.667 0.667 0.441
0.803 0.803 0.848
0.937 0.937 0.314
```

Principal peaks in the range 15 to 90 degrees two-theta, low angle first:
d/Å	Rel. int.
4.919	68
3.184	100
3.122	92
2.854	72
2.678	76
2.669	66
2.145	34
1.953	46
1.891	46
1.607	22

---

Theoretical X-ray powder pattern
Compound: La5Tm3Bi8
Radiation: Cu Ka
Structure: a structure optimized by DFT (PBE)

Cell and atoms:
```
La5Tm3Bi8
1.0
4.612 2.663 7.505
-4.612 2.663 7.505
0.000 -5.325 7.505
La Tm Bi
5 3 8
direct
0.000 0.000 0.000
0.000 0.500 0.500
0.500 0.000 0.500
0.500 0.500 0.000
0.500 0.500 0.500
0.000 0.000 0.500
0.000 0.500 0.000
0.500 0.000 0.000
0.239 0.750 0.750
0.245 0.245 0.245
0.250 0.250 0.761
0.250 0.761 0.250
0.750 0.239 0.750
0.750 0.750 0.239
0.755 0.755 0.755
0.761 0.250 0.250
```

Principal peaks in the range 15 to 90 degrees two-theta, low angle first:
d/Å	Rel. int.
3.761	5
3.257	100
2.303	78
1.882	22
1.876	7
1.629	13
1.458	19
1.455	18
1.331	21
1.327	6

---

Theoretical X-ray powder pattern
Compound: HfH6Cl12
Radiation: Cu Ka
Structure: a structure optimized by DFT (PBE)

Cell and atoms:
```
HfH6Cl12
1.0
7.951 0.000 0.000
-0.992 8.275 0.000
-2.549 -4.344 8.027
Hf H Cl
1 6 12
direct
0.000 0.000 0.000
0.093 0.374 0.877
0.172 0.166 0.480
0.306 0.462 0.332
0.694 0.538 0.668
0.828 0.834 0.520
0.907 0.626 0.123
0.034 0.831 0.732
0.122 0.794 0.110
0.217 0.488 0.869
0.282 0.148 0.600
0.293 0.610 0.448
0.305 0.195 0.109
0.695 0.805 0.891
0.707 0.390 0.552
0.718 0.852 0.400
0.783 0.512 0.131
0.878 0.206 0.890
0.966 0.169 0.268
```

Principal peaks in the range 15 to 90 degrees two-theta, low angle first:
d/Å	Rel. int.
5.390	62
4.669	72
4.605	71
4.356	56
3.716	45
3.676	46
3.382	82
3.247	100
3.194	98
2.986	63

---

Theoretical X-ray powder pattern
Compound: Cs3In3Sn8
Radiation: Cu Ka
Structure: a structure optimized by DFT (PBE)

Cell and atoms:
```
Cs3In3Sn8
1.0
-2.371 7.220 7.227
2.371 -7.220 7.227
2.371 7.220 -7.227
Cs In Sn
3 3 8
direct
0.000 0.000 0.000
0.270 0.000 0.270
0.730 0.000 0.730
0.355 0.855 0.500
0.500 0.500 0.000
0.645 0.145 0.500
0.052 0.675 0.377
0.137 0.297 0.840
0.297 0.675 0.623
0.457 0.297 0.160
0.543 0.703 0.840
0.703 0.325 0.377
0.863 0.703 0.160
0.948 0.325 0.623
```

Principal peaks in the range 15 to 90 degrees two-theta, low angle first:
d/Å	Rel. int.
3.380	73
3.230	78
3.061	100
2.818	96
2.468	60
2.408	36
2.371	50
2.038	34
1.911	36
1.690	24

---

Theoretical X-ray powder pattern
Compound: Na2Ac3Tl4In2
Radiation: Cu Ka
Structure: a structure optimized by DFT (PBE)

Cell and atoms:
```
Na2Ac3Tl4In2
1.0
5.046 0.000 0.000
-2.523 4.370 0.000
0.000 0.000 17.171
Na Ac Tl In
2 3 4 2
direct
0.333 0.667 0.060
0.667 0.333 0.940
0.000 0.000 0.239
0.000 0.000 0.500
0.000 0.000 0.761
0.333 0.667 0.396
0.333 0.667 0.865
0.667 0.333 0.135
0.667 0.333 0.604
0.333 0.667 0.655
0.667 0.333 0.345
```

Principal peaks in the range 15 to 90 degrees two-theta, low angle first:
d/Å	Rel. int.
3.895	38
3.474	15
3.063	100
2.700	17
2.523	74
2.394	12
1.947	28
1.635	16
1.542	27
1.457	14

---

Theoretical X-ray powder pattern
Compound: CePb2S4
Radiation: Cu Ka
Structure: a structure optimized by DFT (PBE)

Cell and atoms:
```
CePb2S4
1.0
7.307 0.000 0.000
0.000 12.745 0.000
0.000 0.000 4.171
Ce Pb S
2 4 8
direct
0.000 0.000 0.000
0.500 0.500 0.000
0.112 0.330 0.500
0.388 0.830 0.500
0.612 0.170 0.500
0.888 0.670 0.500
0.127 0.799 0.000
0.239 0.038 0.500
0.261 0.538 0.500
0.373 0.299 0.000
0.627 0.701 0.000
0.739 0.462 0.500
0.761 0.962 0.500
0.873 0.201 0.000
```

Principal peaks in the range 15 to 90 degrees two-theta, low angle first:
d/Å	Rel. int.
4.803	44
3.673	82
3.512	35
3.485	100
2.921	31
2.755	25
2.686	75
2.392	26
2.084	60
1.813	26

---

Theoretical X-ray powder pattern
Compound: HfMn2Nb2
Radiation: Cu Ka
Structure: a structure optimized by DFT (PBE)

Cell and atoms:
```
HfMn2Nb2
1.0
1.531 -8.772 0.000
1.531 8.772 0.000
0.000 0.000 3.041
Hf Mn Nb
1 2 2
direct
0.000 0.000 0.000
0.405 0.595 0.500
0.595 0.405 0.500
0.178 0.822 0.000
0.822 0.178 0.000
```

Principal peaks in the range 15 to 90 degrees two-theta, low angle first:
d/Å	Rel. int.
3.041	35
3.017	29
2.924	30
2.499	29
2.307	95
2.142	100
2.108	78
1.283	32
1.270	27
1.239	27

---

Theoretical X-ray powder pattern
Compound: Rb3CdBi2
Radiation: Cu Ka
Structure: a structure optimized by DFT (PBE)

Cell and atoms:
```
Rb3CdBi2
1.0
-4.749 7.882 3.861
4.749 -7.882 3.861
4.749 7.882 -3.861
Rb Cd Bi
6 2 4
direct
0.175 0.679 0.855
0.250 0.250 0.000
0.325 0.179 0.504
0.675 0.821 0.496
0.750 0.750 0.000
0.825 0.321 0.145
0.250 0.750 0.500
0.750 0.250 0.500
0.093 0.307 0.400
0.407 0.807 0.214
0.593 0.193 0.786
0.907 0.693 0.600
```

Principal peaks in the range 15 to 90 degrees two-theta, low angle first:
d/Å	Rel. int.
4.766	83
3.861	30
3.293	100
3.206	42
3.033	45
2.996	84
2.758	50
2.419	40
2.102	29
2.084	29